Simulated powder XRD pattern of ZnCu4O6 for Cu Ka, from the GGA-PBE geometry in the Materials Project.
Neutral-atom scattering factors, no anomalous dispersion.

Structural model:
Cell lengths 5.129, 5.129, 14.788 Å; angles 90.00, 90.00, 146.68 degrees
Sites, in units of the cell vectors:
Zn: 0.160 0.840 0.750
Zn: 0.840 0.160 0.250
Cu: 0.094 0.906 0.135
Cu: 0.094 0.906 0.365
Cu: 0.362 0.638 0.044
Cu: 0.362 0.638 0.456
Cu: 0.638 0.362 0.544
Cu: 0.638 0.362 0.956
Cu: 0.906 0.094 0.635
Cu: 0.906 0.094 0.865
O: 0.000 0.000 0.000
O: 0.000 0.000 0.500
O: 0.198 0.802 0.250
O: 0.285 0.715 0.577
O: 0.285 0.715 0.923
O: 0.452 0.548 0.159
O: 0.452 0.548 0.341
O: 0.548 0.452 0.659
O: 0.548 0.452 0.841
O: 0.715 0.285 0.077
O: 0.715 0.285 0.423
O: 0.802 0.198 0.750

Main lines, sorted by position (5 to 70 degrees two-theta):
- 2.954 Å, rel. 18
- 2.632 Å, rel. 35
- 2.534 Å, rel. 100
- 2.457 Å, rel. 30
- 2.446 Å, rel. 44
- 2.203 Å, rel. 16
- 2.165 Å, rel. 30
- 2.098 Å, rel. 73
- 2.000 Å, rel. 39
- 1.545 Å, rel. 25
- 1.495 Å, rel. 21
- 1.470 Å, rel. 20



Simulated powder XRD pattern of AlSn3Se2ClO8 for Cu Ka, from the GGA-PBE geometry in the Materials Project.
Neutral-atom scattering factors, no anomalous dispersion.

Structural model:
Cell lengths 7.031, 8.961, 10.402 Å; angles 89.99, 82.43, 89.82 degrees
Sites, in units of the cell vectors:
Al: 0.000 0.000 0.000
Al: 0.469 0.497 0.493
Sn: 0.596 0.902 0.975
Sn: 0.671 0.238 0.238
Sn: 0.714 0.782 0.659
Sn: 0.754 0.280 0.828
Sn: 0.797 0.736 0.252
Sn: 0.877 0.403 0.515
Se: 0.170 0.490 0.761
Se: 0.214 0.554 0.256
Se: 0.256 0.053 0.236
Se: 0.297 0.989 0.733
Cl: 0.646 0.455 0.039
Cl: 0.810 0.956 0.439
O: 0.006 0.459 0.315
O: 0.064 0.326 0.824
O: 0.114 0.725 0.229
O: 0.145 0.916 0.866
O: 0.151 0.096 0.097
O: 0.316 0.593 0.397
O: 0.325 0.416 0.629
O: 0.355 0.223 0.266
O: 0.403 0.824 0.669
O: 0.463 0.959 0.174
O: 0.474 0.069 0.807
O: 0.621 0.363 0.408
O: 0.668 0.594 0.547
O: 0.801 0.095 0.944
O: 0.849 0.865 0.085
O: 0.994 0.570 0.684

Main lines, sorted by position (5 to 70 degrees two-theta):
- 6.970 Å, rel. 44
- 6.764 Å, rel. 65
- 5.156 Å, rel. 33
- 3.769 Å, rel. 100
- 3.581 Å, rel. 36
- 3.485 Å, rel. 31
- 3.382 Å, rel. 28
- 3.211 Å, rel. 51
- 3.152 Å, rel. 61
- 2.944 Å, rel. 54
- 2.729 Å, rel. 35
- 2.055 Å, rel. 26



Simulated powder XRD pattern of Y7FeI12 for Cu Ka, from the GGA-PBE geometry in the Materials Project.
Neutral-atom scattering factors, no anomalous dispersion.

Structural model:
Cell lengths 9.725, 9.725, 9.725 Å; angles 107.01, 107.01, 107.01 degrees
Sites, in units of the cell vectors:
Y: 0.000 0.000 0.000
Y: 0.210 0.478 0.408
Y: 0.408 0.210 0.478
Y: 0.478 0.408 0.210
Y: 0.522 0.592 0.790
Y: 0.592 0.790 0.522
Y: 0.790 0.522 0.592
Fe: 0.500 0.500 0.500
I: 0.036 0.113 0.341
I: 0.113 0.341 0.036
I: 0.178 0.573 0.728
I: 0.272 0.822 0.427
I: 0.341 0.036 0.113
I: 0.427 0.272 0.822
I: 0.573 0.728 0.178
I: 0.659 0.964 0.887
I: 0.728 0.178 0.573
I: 0.822 0.427 0.272
I: 0.887 0.659 0.964
I: 0.964 0.887 0.659

Main lines, sorted by position (5 to 70 degrees two-theta):
- 7.818 Å, rel. 11
- 3.616 Å, rel. 12
- 3.549 Å, rel. 33
- 3.088 Å, rel. 100
- 2.199 Å, rel. 34
- 2.168 Å, rel. 35
- 1.879 Å, rel. 8
- 1.860 Å, rel. 13
- 1.774 Å, rel. 17
- 1.544 Å, rel. 14
- 1.389 Å, rel. 12
- 1.373 Å, rel. 13



Simulated powder XRD pattern of Sm7Ti4Se12O6 for Cu Ka, from the GGA-PBE geometry in the Materials Project.
Neutral-atom scattering factors, no anomalous dispersion.

Structural model:
Cell lengths 14.258, 14.258, 11.199 Å; angles 90.42, 90.42, 15.39 degrees
Sites, in units of the cell vectors:
Sm: 0.000 0.000 0.000
Sm: 0.130 0.130 0.538
Sm: 0.361 0.361 0.344
Sm: 0.509 0.509 0.497
Sm: 0.619 0.619 0.037
Sm: 0.758 0.758 0.191
Sm: 0.887 0.887 0.721
Ti: 0.062 0.062 0.267
Ti: 0.348 0.348 0.036
Ti: 0.563 0.563 0.768
Ti: 0.771 0.771 0.502
Se: 0.123 0.123 0.815
Se: 0.198 0.198 0.060
Se: 0.224 0.224 0.386
Se: 0.319 0.319 0.613
Se: 0.422 0.422 0.894
Se: 0.497 0.497 0.227
Se: 0.626 0.626 0.310
Se: 0.702 0.702 0.633
Se: 0.808 0.808 0.921
Se: 0.901 0.901 0.145
Se: 0.925 0.925 0.479
Se: 0.999 0.999 0.718
O: 0.047 0.047 0.434
O: 0.076 0.076 0.100
O: 0.309 0.309 0.170
O: 0.540 0.540 0.933
O: 0.582 0.582 0.604
O: 0.813 0.813 0.364

Main lines, sorted by position (5 to 70 degrees two-theta):
- 8.784 Å, rel. 29
- 3.532 Å, rel. 35
- 3.044 Å, rel. 81
- 2.936 Å, rel. 32
- 2.750 Å, rel. 76
- 2.695 Å, rel. 97
- 2.574 Å, rel. 26
- 2.565 Å, rel. 100
- 2.418 Å, rel. 31
- 2.251 Å, rel. 28
- 1.910 Å, rel. 55
- 1.856 Å, rel. 26



Simulated powder XRD pattern of Te3MoWS for Cu Ka, from the GGA-PBE geometry in the Materials Project.
Neutral-atom scattering factors, no anomalous dispersion.

Structural model:
Cell lengths 3.451, 3.451, 39.394 Å; angles 90.00, 90.00, 120.00 degrees
Sites, in units of the cell vectors:
Te: 0.000 0.000 0.000
Te: 0.000 0.000 0.094
Te: 0.000 0.000 0.376
Te: 0.000 0.000 0.470
Te: 0.333 0.667 0.188
Te: 0.333 0.667 0.282
Mo: 0.000 0.000 0.235
Mo: 0.333 0.667 0.047
W: 0.000 0.000 0.859
W: 0.333 0.667 0.423
S: 0.333 0.667 0.821
S: 0.333 0.667 0.897

Main lines, sorted by position (5 to 70 degrees two-theta):
- 13.131 Å, rel. 43
- 7.879 Å, rel. 92
- 2.986 Å, rel. 55
- 2.794 Å, rel. 14
- 2.555 Å, rel. 100
- 2.467 Å, rel. 19
- 2.128 Å, rel. 57
- 2.049 Å, rel. 17
- 1.876 Å, rel. 11
- 1.725 Å, rel. 37
- 1.589 Å, rel. 10
- 1.430 Å, rel. 16



Simulated powder XRD pattern of NaScNbP3O12 for Cu Ka, from the GGA-PBE geometry in the Materials Project.
Neutral-atom scattering factors, no anomalous dispersion.

Structural model:
Cell lengths 9.209, 9.209, 9.209 Å; angles 57.13, 57.13, 57.13 degrees
Sites, in units of the cell vectors:
Na: 0.000 0.000 0.000
Na: 0.500 0.500 0.500
Sc: 0.356 0.356 0.356
Sc: 0.856 0.856 0.856
Nb: 0.149 0.149 0.149
Nb: 0.649 0.649 0.649
P: 0.044 0.466 0.752
P: 0.252 0.966 0.544
P: 0.466 0.752 0.044
P: 0.544 0.252 0.966
P: 0.752 0.044 0.466
P: 0.966 0.544 0.252
O: 0.013 0.628 0.781
O: 0.065 0.287 0.930
O: 0.087 0.931 0.718
O: 0.128 0.513 0.281
O: 0.218 0.431 0.587
O: 0.229 0.998 0.369
O: 0.281 0.128 0.513
O: 0.287 0.930 0.065
O: 0.369 0.229 0.998
O: 0.430 0.787 0.565
O: 0.431 0.587 0.218
O: 0.498 0.729 0.869
O: 0.513 0.281 0.128
O: 0.565 0.430 0.787
O: 0.587 0.218 0.431
O: 0.628 0.781 0.013
O: 0.718 0.087 0.931
O: 0.729 0.869 0.498
O: 0.781 0.013 0.628
O: 0.787 0.565 0.430
O: 0.869 0.498 0.729
O: 0.930 0.065 0.287
O: 0.931 0.718 0.087
O: 0.998 0.369 0.229

Main lines, sorted by position (5 to 70 degrees two-theta):
- 6.359 Å, rel. 47
- 4.596 Å, rel. 51
- 4.404 Å, rel. 64
- 3.820 Å, rel. 100
- 3.180 Å, rel. 40
- 2.894 Å, rel. 75
- 2.542 Å, rel. 28
- 2.037 Å, rel. 16
- 1.910 Å, rel. 27
- 1.800 Å, rel. 18
- 1.664 Å, rel. 21
- 1.527 Å, rel. 14